Record 1
Theoretical powder diffraction line list of AcTbPr4Er2 for Cu Kα (λ = 1.5418 Å), from DFT lattice parameters and positions (GGA-PBE).
No peak broadening, texture or thermal motion is included.

Principal peaks in the range 10 to 90 degrees two-theta, in order of rising 2θ:
2θ (°), d [Å], intensity, h k l
29.73, 3.005, 100, 1 1 2
34.37, 2.609, 34, 0 2 0
34.65, 2.589, 17, 4 0 0
49.40, 1.845, 12, 2 2 -4
49.61, 1.838, 24, 4 2 0
58.67, 1.574, 14, 5 1 -6
58.78, 1.571, 15, 1 3 2
59.10, 1.563, 14, 7 1 -2
61.74, 1.502, 13, 6 2 -4
80.59, 1.192, 6, 7 3 -2

Structure:
```
data_AcTbPr4Er2
_space_group_name_H-M_alt 'C 1 2/m 1'
_space_group_IT_number 12
_cell_length_a 11.6028
_cell_length_b 5.2122
_cell_length_c 10.4486
_cell_angle_alpha 90.00
_cell_angle_beta 116.82
_cell_angle_gamma 90.00
loop_
_space_group_symop_operation_xyz
'x,y,z'
'-x,-y,-z'
'-x,y,-z'
'x,-y,z'
'x+1/2,y+1/2,z'
'-x+1/2,-y+1/2,-z'
'-x+1/2,y+1/2,-z'
'x+1/2,-y+1/2,z'
loop_
_atom_site_label
_atom_site_type_symbol
_atom_site_fract_x
_atom_site_fract_y
_atom_site_fract_z
Ac1 Ac 0.0000 0.0000 0.0000
Tb1 Tb 0.0000 0.0000 0.5000
Pr1 Pr 0.2471 0.0000 0.8694
Pr2 Pr 0.2487 0.5000 0.6216
Er1 Er 0.0008 0.5000 0.7434
```


Record 2
Theoretical powder diffraction line list of Hf5Nb2Sn4 for Cu Kα (λ = 1.5418 Å), from DFT lattice parameters and positions (GGA-PBE).
No peak broadening, texture or thermal motion is included.

Principal peaks in the range 10 to 90 degrees two-theta, in order of rising 2θ:
2θ (°), d [Å], intensity, h k l
29.36, 3.042, 22, 0 1 0
30.17, 2.962, 31, 1 0 3
34.41, 2.606, 28, 3 0 0
34.95, 2.567, 45, 3 0 -1
36.09, 2.489, 55, 1 1 -2
36.94, 2.433, 100, 2 0 3
37.32, 2.410, 46, 1 0 -4
37.46, 2.401, 41, 2 1 0
39.00, 2.310, 28, 2 1 1
40.31, 2.237, 23, 0 1 3

Structure:
```
data_Hf5Nb2Sn4
_space_group_name_H-M_alt 'P 1 2/m 1'
_space_group_IT_number 10
_cell_length_a 7.8398
_cell_length_b 3.0422
_cell_length_c 9.9208
_cell_angle_alpha 90.00
_cell_angle_beta 94.20
_cell_angle_gamma 90.00
loop_
_space_group_symop_operation_xyz
'x,y,z'
'-x,-y,-z'
'-x,y,-z'
'x,-y,z'
loop_
_atom_site_label
_atom_site_type_symbol
_atom_site_fract_x
_atom_site_fract_y
_atom_site_fract_z
Hf1 Hf 0.0000 0.0000 0.0000
Hf2 Hf 0.0550 0.0000 0.3109
Hf3 Hf 0.3252 0.0000 0.8466
Nb1 Nb 0.4326 0.0000 0.3665
Sn1 Sn 0.2376 0.5000 0.5697
Sn2 Sn 0.3118 0.5000 0.1208
```